TiAl2Pt3: simulated X-ray powder pattern (Cu Kα (λ = 1.5418 Å)), based on a DFT-relaxed cell (PBE, Alexandria).

The 12 most intense peaks (2θ from 10° to 80°), by angle:
2θ/deg, d (Å), Rel. int.
28.55, 3.126, 100
40.20, 2.243, 78
41.44, 2.179, 80
47.32, 1.921, 7
48.97, 1.860, 5
51.09, 1.788, 21
59.10, 1.563, 25
66.04, 1.415, 13
67.81, 1.382, 18
72.20, 1.308, 8
74.74, 1.270, 25
75.58, 1.258, 14

Structural model:
```
TiAl2Pt3
1.0
4.358 0.000 0.000
-2.179 3.774 0.000
0.000 0.000 11.159
Ti Al Pt
2 4 6
Direct
0.333 0.667 0.169 Ti
0.667 0.333 0.831 Ti
0.000 0.000 0.000 Al
0.000 0.000 0.500 Al
0.333 0.667 0.673 Al
0.667 0.333 0.327 Al
0.000 0.000 0.275 Pt
0.000 0.000 0.725 Pt
0.333 0.667 0.423 Pt
0.333 0.667 0.931 Pt
0.667 0.333 0.069 Pt
0.667 0.333 0.577 Pt
```